The following is a theoretical powder diffractogram of Hf2VF11. It was derived from a structure optimized by DFT (PBE+U), using copper Kα.
Neutral-atom scattering factors, no anomalous dispersion.

Unit cell a=7.7696 b=9.6312 c=10.2961 alpha=90.00 beta=90.00 gamma=90.00
Space group Ibam (No. 72)
Unique sites:
Hf 0.1319 0.1881 0.0000
V 0.0000 0.5000 0.2500
F 0.0000 0.0000 0.0000
F 0.0894 0.3542 0.1326
F 0.1316 0.2167 0.5000
F 0.2465 0.0947 0.1472

Largest 8 diffraction maxima, sorted by position, 10 to 90 degrees two-theta:
hkl 0 0 2, 2θ 17.2, intensity 70.2; hkl 1 1 2, 2θ 22.7, intensity 40.6; hkl 1 2 1, 2θ 23.4, intensity 43.9; hkl 0 2 2, 2θ 25.3, intensity 54.9; hkl 2 1 1, 2θ 26.2, intensity 100.0; hkl 0 0 4, 2θ 34.9, intensity 24.4; hkl 2 1 3, 2θ 36.1, intensity 23.4; hkl 1 3 4, 2θ 46.7, intensity 24.7